Entry 1:
For Cs2AgBiI6, DFT lattice parameters and positions (PBE) gives the simulated XRD peak list in this record (Cu Kα (λ = 1.5418 Å)).

Principal peaks in the range 10° ≤ 2θ ≤ 90°, in order of falling intensity:
two_theta, Rel. int.
29.2, 1000
41.7, 750
25.2, 531
68.5, 341
20.5, 284
14.5, 282
51.7, 265
76.1, 254
49.3, 242
32.7, 161

Cell and atoms:
```
Cs2AgBiI6
1.0
0.0000 6.1269 6.1269
6.1269 0.0000 6.1269
6.1269 6.1269 0.0000
Cs Ag Bi I
2 1 1 6
Direct
0.2500 0.2500 0.2500 Cs
0.7500 0.7500 0.7500 Cs
0.0000 0.0000 0.0000 Ag
0.5000 0.5000 0.5000 Bi
0.2469 0.2469 0.7531 I
0.2469 0.7531 0.2469 I
0.2469 0.7531 0.7531 I
0.7531 0.2469 0.2469 I
0.7531 0.2469 0.7531 I
0.7531 0.7531 0.2469 I
```

Entry 2:
For CsAg2BiS3, DFT lattice parameters and positions (PBE) gives the simulated XRD peak list in this record (Cu Kα (λ = 1.5418 Å)).

Principal peaks in the range 10° ≤ 2θ ≤ 90°, in order of falling intensity:
two_theta, Rel. int.
29.3, 1000
25.3, 731
29.8, 572
44.2, 500
19.8, 456
27.3, 399
40.3, 365
27.5, 352
35.1, 305
33.4, 294

Cell and atoms:
```
CsAg2BiS3
1.0
13.6126 0.0000 0.0000
0.0000 8.3095 0.0000
-1.1794 0.0000 6.9613
Cs Ag Bi S
4 8 4 12
Direct
0.1793 0.1149 0.3151 Cs
0.1793 0.3851 0.8151 Cs
0.8207 0.6149 0.1849 Cs
0.8207 0.8851 0.6849 Cs
0.0870 0.7481 0.5297 Ag
0.0870 0.7519 0.0297 Ag
0.2682 0.6402 0.3490 Ag
0.2682 0.8598 0.8490 Ag
0.7318 0.1402 0.1510 Ag
0.7318 0.3598 0.6510 Ag
0.9130 0.2481 0.9703 Ag
0.9130 0.2519 0.4703 Ag
0.4987 0.1320 0.7568 Bi
0.4987 0.3680 0.2568 Bi
0.5013 0.6320 0.7432 Bi
0.5013 0.8680 0.2432 Bi
0.0897 0.5538 0.2775 S
0.0897 0.9462 0.7775 S
0.3777 0.6440 0.0487 S
0.3777 0.8560 0.5487 S
0.3826 0.1281 0.0442 S
0.3826 0.3719 0.5442 S
0.6174 0.6281 0.4558 S
0.6174 0.8719 0.9558 S
0.6223 0.1440 0.4513 S
0.6223 0.3560 0.9513 S
0.9103 0.0538 0.2225 S
0.9103 0.4462 0.7225 S
```

Entry 3:
For Cu2AgBiPbS4, DFT lattice parameters and positions (PBE) gives the simulated XRD peak list in this record (Cu Kα (λ = 1.5418 Å)).

Principal peaks in the range 10° ≤ 2θ ≤ 90°, in order of falling intensity:
two_theta, Rel. int.
24.0, 1000
29.0, 902
33.2, 578
25.5, 566
28.4, 504
43.1, 500
26.2, 438
41.7, 421
43.6, 419
25.1, 321

Cell and atoms:
```
Cu2AgBiPbS4
1.0
12.8634 0.0000 0.0000
0.0000 4.1539 0.0000
0.0000 0.0000 14.7771
Cu Ag Bi Pb S
8 4 4 4 16
Direct
0.0568 0.2500 0.1436 Cu
0.0578 0.2500 0.8665 Cu
0.4422 0.7500 0.3665 Cu
0.4432 0.7500 0.6436 Cu
0.5568 0.2500 0.3564 Cu
0.5578 0.2500 0.6335 Cu
0.9422 0.7500 0.1335 Cu
0.9432 0.7500 0.8564 Cu
0.1684 0.7500 0.0773 Ag
0.3316 0.2500 0.5773 Ag
0.6684 0.7500 0.4227 Ag
0.8316 0.2500 0.9227 Ag
0.0711 0.7500 0.6021 Bi
0.4289 0.2500 0.1021 Bi
0.5711 0.7500 0.8979 Bi
0.9289 0.2500 0.3979 Bi
0.2127 0.7500 0.3327 Pb
0.2873 0.2500 0.8327 Pb
0.7127 0.7500 0.1673 Pb
0.7873 0.2500 0.6673 Pb
0.0080 0.2500 0.7143 S
0.1027 0.7500 0.9164 S
0.1277 0.2500 0.4683 S
0.2217 0.2500 0.1844 S
0.2783 0.7500 0.6844 S
0.3723 0.7500 0.9683 S
0.3973 0.2500 0.4164 S
0.4920 0.7500 0.2143 S
0.5080 0.2500 0.7857 S
0.6027 0.7500 0.5836 S
0.6277 0.2500 0.0317 S
0.7217 0.2500 0.3156 S
0.7783 0.7500 0.8156 S
0.8723 0.7500 0.5317 S
0.8973 0.2500 0.0836 S
0.9920 0.7500 0.2857 S
```

Entry 4:
For K2AgBiF6, DFT lattice parameters and positions (PBE) gives the simulated XRD peak list in this record (Cu Kα (λ = 1.5418 Å)).

Principal peaks in the range 10° ≤ 2θ ≤ 90°, in order of falling intensity:
two_theta, Rel. int.
26.9, 1000
19.0, 668
47.6, 422
38.5, 397
43.2, 335
55.5, 251
76.1, 216
62.8, 187
59.2, 164
16.4, 152

Cell and atoms:
```
K2AgBiF6
1.0
0.0000 4.6815 4.6815
4.6815 0.0000 4.6815
4.6815 4.6815 0.0000
K Ag Bi F
2 1 1 6
Direct
0.2500 0.2500 0.2500 K
0.7500 0.7500 0.7500 K
0.0000 0.0000 0.0000 Ag
0.5000 0.5000 0.5000 Bi
0.2585 0.2585 0.7415 F
0.2585 0.7415 0.2585 F
0.2585 0.7415 0.7415 F
0.7415 0.2585 0.2585 F
0.7415 0.2585 0.7415 F
0.7415 0.7415 0.2585 F
```